No. 1
Theoretical powder X-ray diffraction pattern of ErClO for copper Kα, from DFT lattice parameters and positions (PBE).
Peak positions follow from Bragg's law for the DFT cell and can differ from measured ones.

Structure:
a b c (Å): 3.739 4.151 9.238
angles (deg): 90.00 90.00 90.00
Fractional positions:
1 Er 0.250 0.250 0.113
2 Er 0.750 0.750 0.887
3 Cl 0.250 0.750 0.682
4 Cl 0.750 0.250 0.318
5 O 0.250 0.750 0.028
6 O 0.750 0.250 0.972

Most intense lines, 2θ = 10–90°, in order of falling intensity:
30.8 deg, intensity 100, (1 0 2); 23.5 deg, intensity 99, (0 1 1); 33.7 deg, intensity 62, (1 1 1); 28.9 deg, intensity 53, (0 1 2); 54.3 deg, intensity 44, (1 2 2); 37.8 deg, intensity 40, (1 0 3); 43.9 deg, intensity 35, (1 1 3); 51.5 deg, intensity 33, (1 1 4); 32.2 deg, intensity 29, (1 1 0); 36.3 deg, intensity 24, (0 1 3)

---

No. 2
Theoretical powder X-ray diffraction pattern of ScMn6Ge6 for copper Kα, from DFT lattice parameters and positions (PBE).
Peak positions follow from Bragg's law for the DFT cell and can differ from measured ones.

Structure:
a b c (Å): 5.131 5.131 8.094
angles (deg): 90.00 90.00 120.00
Fractional positions:
1 Sc 0.000 0.000 0.000
2 Mn 0.000 0.500 0.249
3 Mn 0.000 0.500 0.751
4 Mn 0.500 0.000 0.249
5 Mn 0.500 0.000 0.751
6 Mn 0.500 0.500 0.249
7 Mn 0.500 0.500 0.751
8 Ge 0.000 0.000 0.339
9 Ge 0.000 0.000 0.661
10 Ge 0.333 0.667 0.000
11 Ge 0.333 0.667 0.500
12 Ge 0.667 0.333 0.000
13 Ge 0.667 0.333 0.500

Most intense lines, 2θ = 10–90°, in order of falling intensity:
46.6 deg, intensity 100, (2 0 2); 41.7 deg, intensity 83, (1 1 2); 35.0 deg, intensity 67, (1 1 0); 40.6 deg, intensity 42, (2 0 0); 73.9 deg, intensity 32, (2 2 0); 49.5 deg, intensity 31, (1 0 4); 80.4 deg, intensity 27, (1 1 6); 39.1 deg, intensity 25, (1 0 3); 44.8 deg, intensity 25, (0 0 4); 73.2 deg, intensity 19, (2 1 4)

---

Number 2 is which compound? ScMn6Ge6